Starting from a DFT-relaxed cell (GGA+U, the Materials Project), the XRD peak list of PrVO4 was simulated for Cu Kα (weighted mean of Kα1 and Kα2).
No peak broadening, texture or thermal motion is included.

The 8 most intense peaks (2θ = 5–70°), by angle:
d (Å)  Rel. int.
4.399  264
3.426  585
3.221  1000
2.968  642
2.247  307
2.012  336
1.958  298
1.861  296

Cell: 6.7461 7.2998 8.3864 Å, 90.00 125.21 90.00°
Space group P2_1/c (No. 14)
Asymmetric unit:
Pr1 0.1838 0.1544 0.2814 [4 per cell]
V1 0.3087 0.6651 0.1966 [4 per cell]
O1 0.1046 0.6534 0.6082 [4 per cell]
O2 0.1703 0.0041 0.7490 [4 per cell]
O3 0.3456 0.6057 0.0149 [4 per cell]
O4 0.3919 0.2207 0.1194 [4 per cell]